This entry pairs a crystal structure of Na4CO4 with its theoretical powder X-ray diffraction pattern. Radiation: Cu Kα (λ = 1.5418 Å). Structure: the PBE geometry in Alexandria.

Structural model:
Cell: 6.6967 6.6967 8.2608 Å, 90.00 90.00 120.00°
Space group R3m (No. 160, hexagonal axes)
Symmetry-distinct sites (fractional):
1 Na 0.0000 0.0000 0.0000 (multiplicity 3)
2 Na 0.0402 0.5201 0.9579 (multiplicity 9)
3 C 0.0000 0.0000 0.7205 (multiplicity 3)
4 O 0.0000 0.0000 0.5446 (multiplicity 3)
5 O 0.0968 0.5484 0.4458 (multiplicity 9)

Peak list (10 most intense, 2θ = 15–90°, in order of falling intensity)
37.91°, rel. 100, hkl 2 0 2
46.95°, rel. 60, hkl 1 2 2
18.69°, rel. 30, hkl 1 0 1
54.84°, rel. 29, hkl 2 2 0
54.55°, rel. 28, hkl 0 2 4
32.73°, rel. 23, hkl 0 2 1
46.69°, rel. 21, hkl 1 0 4
26.49°, rel. 16, hkl 0 1 2
26.62°, rel. 15, hkl 1 1 0
65.22°, rel. 12, hkl 2 2 3


This entry pairs a crystal structure of NaSiPCO7 with its theoretical powder X-ray diffraction pattern. Radiation: Cu Kα (λ = 1.5418 Å). Structure: the PBE geometry in Alexandria.

Structural model:
Cell: 4.992 6.042 9.436 Å, 90.00 90.36 90.00°
Space group P2_1 (No. 4)
Symmetry-distinct sites (fractional):
1 Na 0.183 0.000 0.182 (multiplicity 2)
2 Si 0.237 0.810 0.650 (multiplicity 2)
3 P 0.273 0.304 0.558 (multiplicity 2)
4 C 0.341 0.809 0.885 (multiplicity 2)
5 O 0.079 0.303 0.432 (multiplicity 2)
6 O 0.095 0.809 0.827 (multiplicity 2)
7 O 0.225 0.506 0.656 (multiplicity 2)
8 O 0.231 0.103 0.655 (multiplicity 2)
9 O 0.398 0.815 0.012 (multiplicity 2)
10 O 0.434 0.807 0.496 (multiplicity 2)
11 O 0.486 0.299 0.224 (multiplicity 2)

Peak list (10 most intense, 2θ = 15–90°, in order of falling intensity)
17.43°, rel. 100, hkl 0 1 1
26.07°, rel. 78, hkl 1 0 2
24.99°, rel. 73, hkl 1 1 1
29.57°, rel. 70, hkl 0 2 0
20.07°, rel. 62, hkl 1 0 -1
36.00°, rel. 32, hkl 2 0 0
20.18°, rel. 31, hkl 1 0 1
46.08°, rel. 26, hkl 0 3 1
23.11°, rel. 23, hkl 1 1 0
35.28°, rel. 23, hkl 0 2 2


This entry pairs a crystal structure of Na2SnPCO7 with its theoretical powder X-ray diffraction pattern. Radiation: Cu Kα (λ = 1.5418 Å). Structure: the PBE geometry in Alexandria.

Structural model:
Cell: 5.273 6.910 9.331 Å, 90.00 91.77 90.00°
Space group P2_1 (No. 4)
Symmetry-distinct sites (fractional):
1 Na 0.224 0.000 0.421 (multiplicity 2)
2 Na 0.247 0.758 0.752 (multiplicity 2)
3 Sn 0.229 0.529 0.148 (multiplicity 2)
4 P 0.289 0.022 0.088 (multiplicity 2)
5 C 0.267 0.507 0.442 (multiplicity 2)
6 O 0.051 0.509 0.365 (multiplicity 2)
7 O 0.161 0.006 0.935 (multiplicity 2)
8 O 0.191 0.197 0.175 (multiplicity 2)
9 O 0.227 0.843 0.183 (multiplicity 2)
10 O 0.265 0.531 0.577 (multiplicity 2)
11 O 0.420 0.544 0.931 (multiplicity 2)
12 O 0.477 0.483 0.373 (multiplicity 2)

Peak list (10 most intense, 2θ = 15–90°, in order of falling intensity)
25.79°, rel. 100, hkl 0 2 0
15.96°, rel. 69, hkl 0 1 1
19.08°, rel. 62, hkl 1 0 -1
34.00°, rel. 56, hkl 2 0 0
19.60°, rel. 56, hkl 1 0 1
21.20°, rel. 50, hkl 1 1 0
25.90°, rel. 42, hkl 1 0 2
32.27°, rel. 40, hkl 1 2 -1
47.03°, rel. 36, hkl 0 2 4
32.60°, rel. 34, hkl 1 2 1


This entry pairs a crystal structure of Na2TiPCO7 with its theoretical powder X-ray diffraction pattern. Radiation: Cu Kα (λ = 1.5418 Å). Structure: the PBE geometry in Alexandria.

Structural model:
Cell: 5.315 6.543 9.139 Å, 90.00 91.27 90.00°
Space group P2_1/m (No. 11)
Symmetry-distinct sites (fractional):
1 Na 0.243 0.004 0.272 (multiplicity 4)
2 Ti 0.212 0.250 0.850 (multiplicity 2)
3 P 0.291 0.750 0.927 (multiplicity 2)
4 C 0.273 0.250 0.578 (multiplicity 2)
5 O 0.051 0.250 0.640 (multiplicity 2)
6 O 0.161 0.750 0.077 (multiplicity 2)
7 O 0.207 0.557 0.839 (multiplicity 4)
8 O 0.303 0.250 0.442 (multiplicity 2)
9 O 0.417 0.250 0.054 (multiplicity 2)
10 O 0.462 0.250 0.675 (multiplicity 2)

Peak list (10 most intense, 2θ = 15–90°, in order of falling intensity)
33.72°, rel. 100, hkl 2 0 0
16.67°, rel. 53, hkl 0 1 1
25.43°, rel. 53, hkl 1 0 -2
33.55°, rel. 50, hkl 1 0 -3
23.81°, rel. 45, hkl 1 1 1
27.26°, rel. 41, hkl 0 2 0
36.99°, rel. 21, hkl 1 1 3
56.24°, rel. 20, hkl 0 4 0
26.00°, rel. 20, hkl 1 0 2
21.54°, rel. 20, hkl 1 1 0


This entry pairs a crystal structure of Na3TlPCO7 with its theoretical powder X-ray diffraction pattern. Radiation: Cu Kα (λ = 1.5418 Å). Structure: the PBE geometry in Alexandria.

Structural model:
Cell: 5.331 7.125 9.470 Å, 90.00 90.50 90.00°
Space group P2_1/m (No. 11)
Symmetry-distinct sites (fractional):
1 Na 0.242 0.002 0.248 (multiplicity 4)
2 Na 0.243 0.250 0.919 (multiplicity 2)
3 Tl 0.239 0.750 0.619 (multiplicity 2)
4 P 0.286 0.250 0.601 (multiplicity 2)
5 C 0.261 0.750 0.942 (multiplicity 2)
6 O 0.038 0.750 0.885 (multiplicity 2)
7 O 0.173 0.078 0.681 (multiplicity 4)
8 O 0.223 0.250 0.440 (multiplicity 2)
9 O 0.288 0.750 0.078 (multiplicity 2)
10 O 0.423 0.750 0.381 (multiplicity 2)
11 O 0.463 0.750 0.864 (multiplicity 2)

Peak list (10 most intense, 2θ = 15–90°, in order of falling intensity)
25.01°, rel. 100, hkl 0 2 0
31.66°, rel. 64, hkl 1 2 1
20.81°, rel. 60, hkl 1 1 0
15.56°, rel. 52, hkl 0 1 1
22.55°, rel. 41, hkl 0 1 2
33.62°, rel. 39, hkl 2 0 0
25.27°, rel. 39, hkl 1 0 2
46.03°, rel. 35, hkl 0 2 4
19.03°, rel. 30, hkl 1 0 -1
40.72°, rel. 27, hkl 2 1 -2